The following is a computed powder X-ray diffraction pattern of TbTh2P3Rh12. It was derived from a structure optimized by DFT (GGA-PBE), using Cu Kα X-rays.

Main lines, by angle (15 to 90 degrees two-theta):
20.20 deg, I = 19
28.41 deg, I = 28
33.37 deg, I = 19
35.71 deg, I = 44
35.96 deg, I = 25
40.16 deg, I = 100
46.25 deg, I = 19
72.99 deg, I = 18

```
TbTh2P3Rh12
1.0
4.491 2.593 4.395
-4.491 2.593 4.395
0.000 -5.186 4.395
Tb Th P Rh
1 2 3 12
direct
0.000 0.000 0.000 Tb
0.373 0.373 0.373 Th
0.627 0.627 0.627 Th
0.000 0.000 0.500 P
0.000 0.500 0.000 P
0.500 0.000 0.000 P
0.092 0.639 0.639 Rh
0.179 0.179 0.657 Rh
0.179 0.657 0.179 Rh
0.343 0.821 0.821 Rh
0.361 0.361 0.908 Rh
0.361 0.908 0.361 Rh
0.639 0.092 0.639 Rh
0.639 0.639 0.092 Rh
0.657 0.179 0.179 Rh
0.821 0.343 0.821 Rh
0.821 0.821 0.343 Rh
0.908 0.361 0.361 Rh
```


The following is a computed powder X-ray diffraction pattern of Tb2YP3Rh12. It was derived from a structure optimized by DFT (GGA-PBE), using Cu Kα X-rays.

Main lines, by angle (15 to 90 degrees two-theta):
20.80 deg, I = 14
36.36 deg, I = 41
36.94 deg, I = 19
40.21 deg, I = 100
42.27 deg, I = 21
47.07 deg, I = 16
59.79 deg, I = 14
73.08 deg, I = 15

```
Tb2YP3Rh12
1.0
4.485 2.590 4.270
-4.485 2.590 4.270
0.000 -5.179 4.270
Tb Y P Rh
2 1 3 12
direct
0.128 0.128 0.128 Tb
0.872 0.872 0.872 Tb
0.500 0.500 0.500 Y
0.000 0.500 0.500 P
0.500 0.000 0.500 P
0.500 0.500 0.000 P
0.130 0.130 0.592 Rh
0.130 0.592 0.130 Rh
0.162 0.680 0.680 Rh
0.320 0.320 0.838 Rh
0.320 0.838 0.320 Rh
0.408 0.870 0.870 Rh
0.592 0.130 0.130 Rh
0.680 0.162 0.680 Rh
0.680 0.680 0.162 Rh
0.838 0.320 0.320 Rh
0.870 0.408 0.870 Rh
0.870 0.870 0.408 Rh
```


- Number 1 is which compound?
  TbTh2P3Rh12